For Pm2ZrN3, a structure optimized by DFT (GGA-PBE) gives the computed powder X-ray diffraction pattern in this record (copper Kα).

Atomic structure:
```
Pm2ZrN3
1.0
3.505 0.000 0.000
0.000 3.505 0.000
0.000 0.000 14.774
Pm Zr N
4 2 6
Direct
0.000 0.000 0.163 Pm
0.000 0.000 0.837 Pm
0.500 0.500 0.337 Pm
0.500 0.500 0.663 Pm
0.000 0.000 0.500 Zr
0.500 0.500 0.000 Zr
0.000 0.000 0.000 N
0.000 0.000 0.347 N
0.000 0.000 0.653 N
0.500 0.500 0.153 N
0.500 0.500 0.500 N
0.500 0.500 0.847 N
```

Most intense lines, 10° ≤ 2θ ≤ 90°, low angle first:
- d = 2.856 Å, intensity 1000
- d = 2.478 Å, intensity 518
- d = 2.462 Å, intensity 246
- d = 1.753 Å, intensity 176
- d = 1.747 Å, intensity 338
- d = 1.494 Å, intensity 297
- d = 1.487 Å, intensity 144
- d = 1.428 Å, intensity 169
- d = 1.134 Å, intensity 123
- d = 1.108 Å, intensity 78